# 1
This entry pairs a crystal structure of MgNbAs with its calculated powder diffractogram. Radiation: Cu Kα. Structure: a DFT-relaxed cell (GGA-PBE, Alexandria).

Atomic structure:
```
6
Lattice="4.103 0.000 0.000 0.000 4.103 0.000 0.000 0.000 6.824" Properties=species:S:1:pos:R:3 pbc="T T T"
Mg 1.026 1.026 1.112
Mg 3.078 3.078 5.713
Nb 1.026 3.078 3.412
Nb 3.078 1.026 3.412
As 1.026 1.026 5.248
As 3.078 3.078 1.576
```

The 6 most intense peaks (2θ from 10° to 80°), in order of falling intensity:
d_spacing  two_theta  I (rel.)
2.210  40.82  100
2.670  33.56  73
6.824  12.97  70
2.052  44.14  47
3.517  25.33  32
1.213  78.93  28



# 2
This entry pairs a crystal structure of MgNiAs with its calculated powder diffractogram. Radiation: Cu Kα. Structure: a DFT-relaxed cell (GGA-PBE, Alexandria).

Atomic structure:
```
12
Lattice="7.096 0.000 0.000 0.000 4.104 0.000 -2.373 0.000 6.575" Properties=species:S:1:pos:R:3 pbc="T T T"
Mg 1.182 0.000 1.232
Mg -0.007 2.052 5.343
Mg 4.730 2.052 1.232
Mg 3.541 0.000 5.343
Ni -0.002 2.052 2.683
Ni 1.177 0.000 3.892
Ni 3.546 0.000 2.683
Ni 4.725 2.052 3.892
As -1.187 0.000 3.288
As 0.000 2.052 0.000
As 3.548 0.000 0.000
As 2.362 2.052 3.288
```

The 6 most intense peaks (2θ from 10° to 80°), in order of falling intensity:
d_spacing  two_theta  I (rel.)
2.050  44.18  100
2.025  44.75  72
6.575  13.47  47
3.288  27.12  33
1.740  52.61  31
2.207  40.88  30



# 3
This entry pairs a crystal structure of Mg2NiAs with its calculated powder diffractogram. Radiation: Cu Kα. Structure: a DFT-relaxed cell (GGA-PBE, Alexandria).

Atomic structure:
```
4
Lattice="3.083 0.000 0.000 0.000 3.310 0.000 0.000 0.000 6.915" Properties=species:S:1:pos:R:3 pbc="T T T"
Mg 0.000 0.000 0.000
Mg 1.542 1.655 2.220
Ni 1.542 1.655 5.165
As 0.000 0.000 4.128
```

The 6 most intense peaks (2θ from 10° to 80°), in order of falling intensity:
d_spacing  two_theta  I (rel.)
6.915  12.80  100
2.256  39.96  46
2.391  37.62  38
2.301  39.14  37
2.145  42.13  21
1.891  48.12  18